Entry 1:
Th5Si2Hg: calculated PXRD pattern (CuKα), based on a structure optimized by DFT (PBE).
Neutral-atom scattering factors, no anomalous dispersion.

Most intense lines, 2θ from 5° to 70°, by intensity:
| two_theta | d/Å | I/Imax | index |
| --- | --- | --- | --- |
| 33.6 | 2.665 | 100 | 2 0 4 |
| 31.6 | 2.830 | 100 | 2 1 3 |
| 36.6 | 2.453 | 71 | 3 1 0 |
| 26.4 | 3.376 | 65 | 2 1 1 |
| 29.3 | 3.050 | 57 | 1 1 4 |
| 56.2 | 1.636 | 44 | 3 3 4 |

Structural model:
```
data_Th5Si2Hg
_cell_length_a 7.7560
_cell_length_b 7.7560
_cell_length_c 14.6767
_cell_angle_alpha 90.00
_cell_angle_beta 90.00
_cell_angle_gamma 90.00
_space_group_name_H-M_alt 'I 4/m c m'
_space_group_IT_number 140
_space_group_name_Hall '-I 4 2c'
loop_
_atom_site_label
_atom_site_type_symbol
_atom_site_fract_x
_atom_site_fract_y
_atom_site_fract_z
Th1 Th 0.0000 0.0000 0.0000
Th2 Th 0.1731 0.3269 0.1376
Si1 Si 0.1183 0.3817 0.5000
Hg1 Hg 0.0000 0.0000 0.2500
```

=====

Entry 2:
Cs2InSb2Pb: calculated PXRD pattern (CuKα), based on a structure optimized by DFT (PBE).
Neutral-atom scattering factors, no anomalous dispersion.

Most intense lines, 2θ from 5° to 70°, by intensity:
| two_theta | d/Å | I/Imax | index |
| --- | --- | --- | --- |
| 32.2 | 2.781 | 100 | 2 0 2 |
| 26.6 | 3.352 | 90 | 1 4 1 |
| 10.5 | 8.400 | 83 | 0 2 0 |
| 31.0 | 2.885 | 55 | 2 4 0 |
| 31.3 | 2.857 | 54 | 0 4 2 |
| 24.8 | 3.588 | 36 | 2 2 0 |

Structural model:
```
data_Cs2InSb2Pb
_cell_length_a 7.9369
_cell_length_b 16.8003
_cell_length_c 7.7969
_cell_angle_alpha 90.00
_cell_angle_beta 90.00
_cell_angle_gamma 90.00
_space_group_name_H-M_alt 'I b a m'
_space_group_IT_number 72
_space_group_name_Hall '-I 2 2c'
loop_
_atom_site_label
_atom_site_type_symbol
_atom_site_fract_x
_atom_site_fract_y
_atom_site_fract_z
Cs1 Cs 0.2431 0.1698 0.0000
In1 In 0.0000 0.0000 0.2500
Sb1 Sb 0.2363 0.0880 0.5000
Pb1 Pb 0.0000 0.5000 0.2500
```

=====

Entry 3:
Ta5Mn3: calculated PXRD pattern (CuKα), based on a structure optimized by DFT (PBE).
Neutral-atom scattering factors, no anomalous dispersion.

Most intense lines, 2θ from 5° to 70°, by intensity:
| two_theta | d/Å | I/Imax | index |
| --- | --- | --- | --- |
| 40.5 | 2.228 | 100 | 1 0 4 |
| 41.2 | 2.190 | 50 | 1 1 0 |
| 29.7 | 3.010 | 23 | 1 0 1 |
| 59.7 | 1.548 | 17 | 2 0 0 |
| 55.1 | 1.666 | 9 | 1 1 5 |
| 34.9 | 2.567 | 8 | 0 0 5 |

Structural model:
```
data_Ta5Mn3
_cell_length_a 3.0968
_cell_length_b 3.0968
_cell_length_c 12.8370
_cell_angle_alpha 90.00
_cell_angle_beta 90.00
_cell_angle_gamma 90.00
_space_group_name_H-M_alt 'P 4/m m m'
_space_group_IT_number 123
_space_group_name_Hall '-P 4 2'
loop_
_atom_site_label
_atom_site_type_symbol
_atom_site_fract_x
_atom_site_fract_y
_atom_site_fract_z
Ta1 Ta 0.0000 0.0000 0.0000
Ta2 Ta 0.0000 0.0000 0.2367
Ta3 Ta 0.5000 0.5000 0.3817
Mn1 Mn 0.0000 0.0000 0.5000
Mn2 Mn 0.5000 0.5000 0.1190
```